Record 1
For NdOs2, a crystal structure in the Materials Project, relaxed with PBE gives the calculated X-ray powder pattern in this record (Cu Kα (weighted mean of Kα1 and Kα2)).
No peak broadening, texture or thermal motion is included.

Atomic structure:
a b c (Å): 5.3774 5.3774 9.1165
angles (deg): 90.00 90.00 120.00
Space group P6_3/mmc (No. 194)
Symmetry-distinct sites (fractional):
Nd  0.3333  0.6667  0.0642 [4 per cell]
Os  0.0000  0.0000  0.0000 [2 per cell]
Os  0.1705  0.3409  0.7500 [6 per cell]

Largest 10 diffraction maxima, most intense first, 2θ = 10–90°:
(1 1 2), d 2.316, intensity 100
(2 0 1), d 2.256, intensity 96
(1 0 3), d 2.545, intensity 65
(2 0 5), d 1.436, intensity 34
(2 0 2), d 2.074, intensity 30
(2 2 0), d 1.344, intensity 29
(0 0 4), d 2.279, intensity 26
(3 0 2), d 1.469, intensity 24
(2 1 3), d 1.523, intensity 24
(1 1 0), d 2.689, intensity 20

=====

Record 2
For Tm2Si3Pd, a crystal structure in the Materials Project, relaxed with PBE gives the calculated X-ray powder pattern in this record (Cu Kα (weighted mean of Kα1 and Kα2)).
No peak broadening, texture or thermal motion is included.

Atomic structure:
a b c (Å): 8.1637 8.1637 7.7386
angles (deg): 90.00 90.00 120.00
Space group P6_3/mmc (No. 194)
Symmetry-distinct sites (fractional):
Tm  0.0000  0.0000  0.2500 [2 per cell]
Tm  0.0250  0.5125  0.2500 [6 per cell]
Si  0.1658  0.3315  0.5020 [12 per cell]
Pd  0.3333  0.6667  0.5456 [4 per cell]

Largest 10 diffraction maxima, most intense first, 2θ = 10–90°:
(2 0 2), d 2.610, intensity 100
(2 2 0), d 2.041, intensity 36
(2 0 0), d 3.535, intensity 33
(4 0 2), d 1.608, intensity 21
(4 2 2), d 1.263, intensity 17
(2 2 4), d 1.404, intensity 17
(2 0 4), d 1.697, intensity 11
(0 0 4), d 1.935, intensity 9
(2 0 6), d 1.212, intensity 7
(2 1 1), d 2.526, intensity 6

=====

Record 3
For Cs2YHgBr6, a crystal structure in the Materials Project, relaxed with PBE gives the calculated X-ray powder pattern in this record (Cu Kα (weighted mean of Kα1 and Kα2)).
No peak broadening, texture or thermal motion is included.

Atomic structure:
a b c (Å): 11.7636 11.7636 11.7636
angles (deg): 90.00 90.00 90.00
Space group Fm-3m (No. 225)
Symmetry-distinct sites (fractional):
Cs  0.2500  0.2500  0.2500 [8 per cell]
Y  0.0000  0.0000  0.0000 [4 per cell]
Hg  0.0000  0.0000  0.5000 [4 per cell]
Br  0.0000  0.0000  0.2383 [24 per cell]

Largest 10 diffraction maxima, most intense first, 2θ = 10–90°:
(4 0 0), d 2.941, intensity 100
(4 4 0), d 2.080, intensity 73
(2 2 0), d 4.159, intensity 67
(2 2 2), d 3.396, intensity 38
(8 4 0), d 1.315, intensity 31
(4 2 2), d 2.401, intensity 31
(4 4 4), d 1.698, intensity 25
(8 4 4), d 1.201, intensity 23
(2 0 0), d 5.882, intensity 19
(6 4 2), d 1.572, intensity 18

=====

Record 4
For La2S2O, a crystal structure in the Materials Project, relaxed with PBE gives the calculated X-ray powder pattern in this record (Cu Kα (weighted mean of Kα1 and Kα2)).
No peak broadening, texture or thermal motion is included.

Atomic structure:
a b c (Å): 8.7007 7.3732 7.2304
angles (deg): 90.00 98.55 90.00
Space group P2_1/c (No. 14)
Symmetry-distinct sites (fractional):
La  0.0803  0.1370  0.3126 [4 per cell]
La  0.3632  0.5558  0.2480 [4 per cell]
S  0.1766  0.6446  0.5629 [4 per cell]
S  0.4208  0.2257  0.4725 [4 per cell]
O  0.1174  0.0848  0.6495 [4 per cell]

Largest 10 diffraction maxima, most intense first, 2θ = 10–90°:
(2 1 1), d 3.136, intensity 100
(0 2 1), d 3.277, intensity 68
(2 1 -1), d 3.485, intensity 55
(3 0 -2), d 2.423, intensity 52
(0 0 2), d 3.575, intensity 39
(2 3 0), d 2.134, intensity 32
(1 1 -3), d 2.273, intensity 29
(1 1 -1), d 4.631, intensity 28
(2 1 0), d 3.716, intensity 22
(2 1 3), d 1.897, intensity 22